Structure and simulated PXRD pattern of Pu4Ru2Rh (a structure optimized by DFT (PBE); Cu Kα, 1.54184 Å).
Intensities are scaled so that the largest is 100.

Largest 10 diffraction maxima, in order of rising 2θ, 5 to 70 degrees two-theta:
- 25.85°, I 18
- 30.11°, I 17
- 33.51°, I 100
- 33.99°, I 49
- 39.90°, I 36
- 40.04°, I 35
- 40.29°, I 28
- 53.15°, I 21
- 55.37°, I 21
- 55.96°, I 15

Crystal structure
abc: 7.2912 7.2912 7.2912
angles: 109.03 109.03 110.36
Fractional coordinates of all 14 atoms:
Pu 0.1275 0.7369 0.7468
Pu 0.1307 0.2401 0.7532
Pu 0.2631 0.0099 0.3906
Pu 0.4869 0.3775 0.2468
Pu 0.6193 0.8725 0.6094
Pu 0.6225 0.8693 0.1094
Pu 0.7599 0.5131 0.8906
Pu 0.9901 0.3807 0.2532
Ru 0.2418 0.6250 0.1168
Ru 0.3750 0.4918 0.6168
Ru 0.5082 0.1250 0.8832
Ru 0.8750 0.7582 0.3832
Rh 0.0000 0.0000 0.0000
Rh 0.7500 0.2500 0.5000